1.
Structure and theoretical PXRD pattern of Nd3Er3Te2Pt (a structure optimized by DFT (PBE); Cu Kα (weighted mean of Kα1 and Kα2)).

Peak list (10 most intense, 10° ≤ 2θ ≤ 80°, most intense first)
index, d [Å], Position (°2θ), I (rel.)
2 0 1, 2.720, 32.93, 100
1 1 1, 2.929, 30.52, 87
2 1 0, 2.771, 32.30, 63
2 1 1, 2.289, 39.37, 57
3 2 1, 1.554, 59.49, 39
3 0 0, 2.444, 36.77, 39
2 1 2, 1.637, 56.19, 26
0 0 2, 2.029, 44.66, 25
1 0 0, 7.332, 12.07, 25
3 0 2, 1.561, 59.18, 20

Structure:
Lattice parameters (Å, degrees): 8.4665 8.4665 4.0580 90.00 90.00 120.00
Space group P-62m (No. 189)
One atom of each set of equivalent atoms:
Nd1 0.0000 0.5954 0.0000
Er1 0.0000 0.2390 0.5000
Te1 0.3333 0.6667 0.5000
Pt1 0.0000 0.0000 0.0000

2.
Structure and theoretical PXRD pattern of Nd2Er3Si4 (a structure optimized by DFT (PBE); Cu Kα (weighted mean of Kα1 and Kα2)).

Peak list (10 most intense, 10° ≤ 2θ ≤ 80°, most intense first)
index, d [Å], Position (°2θ), I (rel.)
2 3 1, 2.771, 32.31, 100
0 4 2, 2.669, 33.58, 76
1 3 2, 2.818, 31.76, 73
3 4 3, 1.611, 57.17, 57
2 3 0, 2.966, 30.13, 49
2 1 1, 3.276, 27.22, 48
2 1 2, 2.645, 33.89, 47
1 1 3, 2.413, 37.27, 46
1 0 2, 3.440, 25.90, 46
3 0 1, 2.367, 38.02, 45

Structure:
Lattice parameters (Å, degrees): 7.454 14.696 7.768 90.00 90.00 90.00
Space group Pnma (No. 62)
One atom of each set of equivalent atoms:
Nd1 0.021 0.098 0.179
Er1 0.155 0.750 0.511
Er2 0.179 0.124 0.678
Si1 0.027 0.750 0.113
Si2 0.147 0.539 0.468
Si3 0.227 0.250 0.378

3.
Structure and theoretical PXRD pattern of NdErSi2 (a structure optimized by DFT (PBE); Cu Kα (weighted mean of Kα1 and Kα2)).

Peak list (10 most intense, 10° ≤ 2θ ≤ 80°, most intense first)
index, d [Å], Position (°2θ), I (rel.)
1 1 1, 2.990, 29.88, 100
0 2 1, 2.720, 32.93, 81
1 0 2, 2.792, 32.06, 73
0 1 3, 2.432, 36.96, 46
1 1 2, 2.514, 35.72, 42
1 1 0, 3.221, 27.69, 39
1 2 1, 2.227, 40.50, 38
1 2 3, 1.753, 52.17, 34
2 2 1, 1.579, 58.44, 31
0 1 2, 3.301, 27.01, 31

Structure:
Lattice parameters (Å, degrees): 3.879 5.781 8.043 90.00 90.00 90.00
Space group Pmc2_1 (No. 26)
One atom of each set of equivalent atoms:
Nd1 0.000 0.136 0.000
Er1 0.500 0.365 0.641
Si1 0.000 0.380 0.359
Si2 0.500 0.128 0.285

4.
Structure and theoretical PXRD pattern of Nd3Y2Er (a structure optimized by DFT (PBE); Cu Kα (weighted mean of Kα1 and Kα2)).

Peak list (10 most intense, 10° ≤ 2θ ≤ 80°, most intense first)
index, d [Å], Position (°2θ), I (rel.)
3 1 2, 2.764, 32.39, 100
0 0 4, 2.909, 30.73, 32
0 2 1, 3.033, 29.45, 32
6 0 4, 1.539, 60.12, 28
3 1 6, 1.650, 55.70, 21
0 2 3, 2.441, 36.82, 17
0 4 2, 1.516, 61.12, 16
3 3 0, 1.813, 50.32, 16
0 2 0, 3.141, 28.41, 13
0 2 4, 2.135, 42.34, 9

Structure:
Lattice parameters (Å, degrees): 10.883 6.281 11.638 90.00 90.00 90.00
Space group Cmcm (No. 63)
One atom of each set of equivalent atoms:
Nd1 0.000 0.000 0.000
Nd2 0.165 0.500 0.000
Y1 0.167 0.166 0.250
Er1 0.000 0.334 0.750